1.
# Zr2OsRu
Computed powder XRD pattern, Cu Kα, 1.54184 Å. Input: a structure optimized by DFT (GGA-PBE).
Lines closer than 0.1° are merged.

Most intense lines, 2θ = 5–70°, sorted by position:
2θ = 23.5°, rel. 7, hkl 1 1 1; 2θ = 27.2°, rel. 6, hkl 2 0 0; 2θ = 38.8°, rel. 100, hkl 2 2 0; 2θ = 45.9°, rel. 4, hkl 3 1 1; 2θ = 48.0°, rel. 2, hkl 2 2 2; 2θ = 56.1°, rel. 17, hkl 4 0 0; 2θ = 61.6°, rel. 2, hkl 3 3 1; 2θ = 63.4°, rel. 2, hkl 4 2 0

Crystal structure
```
data_Zr2OsRu
_chemical_formula_sum 'Zr8 Os4 Ru4'
_cell_length_a 6.561
_cell_length_b 6.561
_cell_length_c 6.561
_cell_angle_alpha 90.00
_cell_angle_beta 90.00
_cell_angle_gamma 90.00
_space_group_name_H-M_alt 'F m -3 m'
_space_group_IT_number 225
_space_group_name_Hall '-F 4 2 3'
loop_
_atom_site_label
_atom_site_fract_x
_atom_site_fract_y
_atom_site_fract_z
Zr1 0.250 0.250 0.250
Os1 0.000 0.000 0.000
Ru1 0.000 0.000 0.500
```


2.
# Zr4Os3Ru
Computed powder XRD pattern, Cu Kα, 1.54184 Å. Input: a structure optimized by DFT (GGA-PBE).
Lines closer than 0.1° are merged.

Most intense lines, 2θ = 5–70°, sorted by position:
2θ = 6.7°, rel. 5, hkl 0 0 1; 2θ = 13.5°, rel. 1, hkl 0 0 2; 2θ = 27.2°, rel. 10, hkl 1 0 0; 2θ = 28.0°, rel. 1, hkl 1 0 1; 2θ = 30.4°, rel. 1, hkl 1 0 2; 2θ = 34.1°, rel. 1, hkl 1 0 3; 2θ = 38.8°, rel. 100, hkl 1 1 0; 2θ = 48.0°, rel. 3, hkl 1 1 4; 2θ = 56.0°, rel. 17, hkl 2 0 0; 2θ = 63.3°, rel. 4, hkl 2 1 0

Crystal structure
```
data_Zr4Os3Ru
_chemical_formula_sum 'Zr4 Os3 Ru1'
_cell_length_a 3.283
_cell_length_b 3.283
_cell_length_c 13.128
_cell_angle_alpha 90.00
_cell_angle_beta 90.00
_cell_angle_gamma 90.00
_space_group_name_H-M_alt 'P 4/m m m'
_space_group_IT_number 123
_space_group_name_Hall '-P 4 2'
loop_
_atom_site_label
_atom_site_fract_x
_atom_site_fract_y
_atom_site_fract_z
Zr1 0.000 0.000 0.124
Zr2 0.000 0.000 0.375
Os1 0.500 0.500 0.249
Os2 0.500 0.500 0.500
Ru1 0.500 0.500 0.000
```


3.
# OsS4
Computed powder XRD pattern, Cu Kα, 1.54184 Å. Input: a structure optimized by DFT (GGA-PBE).
Lines closer than 0.1° are merged.

Most intense lines, 2θ = 5–70°, sorted by position:
2θ = 13.0°, rel. 100, hkl 1 0 0; 2θ = 23.2°, rel. 26, hkl 0 1 1; 2θ = 26.2°, rel. 20, hkl 1 1 -1; 2θ = 27.0°, rel. 11, hkl 0 0 2; 2θ = 27.2°, rel. 37, hkl 1 1 1; 2θ = 29.1°, rel. 14, hkl 1 0 -2; 2θ = 34.5°, rel. 15, hkl 2 1 -1; 2θ = 36.1°, rel. 21, hkl 2 1 1; 2θ = 45.5°, rel. 14, hkl 3 1 -1; 2θ = 47.5°, rel. 11, hkl 0 2 2

Crystal structure
```
data_OsS4
_chemical_formula_sum 'Os2 S8'
_cell_length_a 6.832
_cell_length_b 4.694
_cell_length_c 6.626
_cell_angle_alpha 90.00
_cell_angle_beta 94.44
_cell_angle_gamma 90.00
_space_group_name_H-M_alt 'P 1 21/c 1'
_space_group_IT_number 14
loop_
_space_group_symop_operation_xyz
'x,y,z'
'-x,-y,-z'
'-x,y+1/2,-z+1/2'
'x,-y+1/2,z+1/2'
loop_
_atom_site_label
_atom_site_fract_x
_atom_site_fract_y
_atom_site_fract_z
Os1 0.000 0.000 0.000
S1 0.177 0.173 0.732
S2 0.249 0.677 0.053
```